For CaZn2Ga4, DFT lattice parameters and positions (GGA-PBE) gives the calculated X-ray powder pattern in this record (copper Kα).

Structural model:
abc: 7.830 7.830 4.237
angles: 90.00 90.00 148.21
Sites, in units of the cell vectors:
Ca 0.000 0.000 0.000
Zn 0.418 0.582 0.500
Zn 0.582 0.418 0.500
Ga 0.184 0.816 0.500
Ga 0.311 0.689 0.000
Ga 0.689 0.311 0.000
Ga 0.816 0.184 0.500

Main lines, by angle (10° ≤ 2θ ≤ 80°):
d [Å], I (rel.)
7.531, 24
2.584, 100
2.145, 33
2.131, 67
2.119, 31
1.883, 13
1.507, 24
1.308, 11